(1)
This entry pairs a crystal structure of NaNb13O33 with its theoretical powder diffractogram. Radiation: a wavelength of 1.5418 Å. Structure: a cell relaxed with GGA-PBE.
Peak positions follow from Bragg's law for the DFT cell and can differ from measured ones.

Lattice parameters (Å, degrees): 23.0133 3.8266 15.6922 90.00 91.53 90.00
Space group C2/m (No. 12)
Unique sites:
Na: 0.0000 0.0000 0.0000
Nb: 0.0000 0.5000 0.5000
Nb: 0.0714 0.5000 0.7273
Nb: 0.0855 0.5000 0.1747
Nb: 0.1371 0.5000 0.9676
Nb: 0.1538 0.5000 0.4037
Nb: 0.2085 0.0000 0.1262
Nb: 0.2245 0.5000 0.6370
O: 0.0000 0.0000 0.5000
O: 0.0115 0.5000 0.2100
O: 0.0354 0.5000 0.6192
O: 0.0690 0.0000 0.7553
O: 0.0688 0.5000 0.0448
O: 0.0812 0.5000 0.4521
O: 0.1003 0.5000 0.8656
O: 0.1098 0.0000 0.1637
O: 0.1273 0.5000 0.2877
O: 0.1529 0.0000 0.9970
O: 0.1528 0.5000 0.6951
O: 0.1793 0.0000 0.4013
O: 0.1827 0.5000 0.1120
O: 0.1941 0.5000 0.5274
O: 0.2221 0.5000 0.9304
O: 0.2330 0.0000 0.2366
O: 0.2496 0.0000 0.6369

Main lines, low angle first (10 to 80 degrees two-theta):
- 16.3 deg, I = 33
- 18.8 deg, I = 29
- 23.6 deg, I = 75
- 24.2 deg, I = 100
- 25.6 deg, I = 71
- 30.8 deg, I = 31
- 31.4 deg, I = 28
- 33.5 deg, I = 26
- 47.5 deg, I = 31
- 52.5 deg, I = 28

(2)
This entry pairs a crystal structure of Mn2GeRu with its theoretical powder diffractogram. Radiation: a wavelength of 1.5418 Å. Structure: a cell relaxed with GGA-PBE.
Peak positions follow from Bragg's law for the DFT cell and can differ from measured ones.

Lattice parameters (Å, degrees): 5.9019 5.9019 5.9019 90.00 90.00 90.00
Space group F-43m (No. 216)
Unique sites:
Mn: 0.0000 0.0000 0.0000
Mn: 0.2500 0.2500 0.2500
Ge: 0.0000 0.0000 0.5000
Ru: 0.2500 0.2500 0.7500

Main lines, low angle first (10 to 80 degrees two-theta):
- 26.2 deg, I = 8
- 30.3 deg, I = 1
- 43.4 deg, I = 100
- 51.3 deg, I = 4
- 63.0 deg, I = 16
- 69.4 deg, I = 2
- 79.6 deg, I = 31

(3)
This entry pairs a crystal structure of LiSnP4O12 with its theoretical powder diffractogram. Radiation: a wavelength of 1.5418 Å. Structure: a cell relaxed with GGA-PBE.
Peak positions follow from Bragg's law for the DFT cell and can differ from measured ones.

Lattice parameters (Å, degrees): 16.3890 7.1623 9.6185 90.00 125.79 90.00
Space group C2/c (No. 15)
Unique sites:
Li: 0.0000 0.2042 0.2500
Sn: 0.0000 0.3059 0.7500
P: 0.1373 0.0534 0.6178
P: 0.1446 0.3499 0.1909
O: 0.0661 0.0130 0.4289
O: 0.0690 0.4135 0.2220
O: 0.1151 0.2157 0.6901
O: 0.1265 0.3874 0.0203
O: 0.1548 0.1283 0.2304
O: 0.2470 0.0768 0.6555

Main lines, low angle first (10 to 80 degrees two-theta):
- 13.3 deg, I = 44
- 15.4 deg, I = 40
- 20.4 deg, I = 100
- 22.8 deg, I = 86
- 23.2 deg, I = 34
- 27.4 deg, I = 57
- 30.5 deg, I = 26
- 31.1 deg, I = 37
- 32.8 deg, I = 66
- 38.3 deg, I = 28

(4)
This entry pairs a crystal structure of TiCrAg with its theoretical powder diffractogram. Radiation: a wavelength of 1.5418 Å. Structure: a cell relaxed with GGA-PBE.
Peak positions follow from Bragg's law for the DFT cell and can differ from measured ones.

Lattice parameters (Å, degrees): 6.1072 6.1072 6.1072 90.00 90.00 90.00
Space group F-43m (No. 216)
Unique sites:
Ti: 0.0000 0.0000 0.0000
Cr: 0.2500 0.2500 0.2500
Ag: 0.0000 0.0000 0.5000

Main lines, low angle first (10 to 80 degrees two-theta):
- 25.3 deg, I = 41
- 29.2 deg, I = 34
- 41.8 deg, I = 100
- 49.5 deg, I = 19
- 51.9 deg, I = 9
- 60.7 deg, I = 15
- 66.8 deg, I = 7
- 68.7 deg, I = 11
- 76.4 deg, I = 30

(5)
This entry pairs a crystal structure of Ba3Ir2N4 with its theoretical powder diffractogram. Radiation: a wavelength of 1.5418 Å. Structure: a cell relaxed with GGA-PBE.
Peak positions follow from Bragg's law for the DFT cell and can differ from measured ones.

Lattice parameters (Å, degrees): 6.6854 10.1195 10.3364 90.00 90.00 90.00
Space group Pnna (No. 52)
Unique sites:
Ba: 0.1087 0.1611 0.0808
Ba: 0.2500 0.0000 0.4001
Ir: 0.0881 0.2500 0.7500
Ir: 0.2500 0.0000 0.7238
N: 0.0143 0.0815 0.8308
N: 0.1013 0.6275 0.8736

Main lines, low angle first (10 to 80 degrees two-theta):
- 15.8 deg, I = 29
- 17.2 deg, I = 25
- 27.8 deg, I = 47
- 28.1 deg, I = 60
- 29.2 deg, I = 100
- 30.5 deg, I = 72
- 32.1 deg, I = 45
- 33.3 deg, I = 24
- 39.7 deg, I = 29
- 52.1 deg, I = 45

(6)
This entry pairs a crystal structure of Sc2Si2Ru with its theoretical powder diffractogram. Radiation: a wavelength of 1.5418 Å. Structure: a cell relaxed with GGA-PBE.
Peak positions follow from Bragg's law for the DFT cell and can differ from measured ones.

Lattice parameters (Å, degrees): 10.1074 4.0961 9.5019 90.00 118.01 90.00
Space group C2/m (No. 12)
Unique sites:
Sc: 0.0047 0.0000 0.1769
Sc: 0.1817 0.0000 0.6076
Si: 0.0118 0.5000 0.3781
Si: 0.1391 0.5000 0.0646
Ru: 0.2304 0.5000 0.8704

Main lines, low angle first (10 to 80 degrees two-theta):
- 10.5 deg, I = 75
- 17.6 deg, I = 36
- 19.9 deg, I = 17
- 28.8 deg, I = 33
- 35.2 deg, I = 100
- 39.0 deg, I = 49
- 42.8 deg, I = 46
- 43.1 deg, I = 37
- 44.2 deg, I = 40
- 63.5 deg, I = 23

(7)
This entry pairs a crystal structure of IrN with its theoretical powder diffractogram. Radiation: a wavelength of 1.5418 Å. Structure: a cell relaxed with GGA-PBE.
Peak positions follow from Bragg's law for the DFT cell and can differ from measured ones.

Lattice parameters (Å, degrees): 4.1041 4.1041 4.1041 90.00 90.00 90.00
Space group Pm-3m (No. 221)
Unique sites:
Ir: 0.0000 0.0000 0.5000
N: 0.0000 0.5000 0.5000

Main lines, low angle first (10 to 80 degrees two-theta):
- 21.7 deg, I = 34
- 30.8 deg, I = 39
- 38.0 deg, I = 100
- 44.1 deg, I = 65
- 49.7 deg, I = 16
- 54.8 deg, I = 15
- 64.2 deg, I = 42
- 68.6 deg, I = 8
- 72.9 deg, I = 6
- 77.1 deg, I = 41

(8)
This entry pairs a crystal structure of LiBr with its theoretical powder diffractogram. Radiation: a wavelength of 1.5418 Å. Structure: a cell relaxed with GGA-PBE.
Peak positions follow from Bragg's law for the DFT cell and can differ from measured ones.

Lattice parameters (Å, degrees): 4.1882 4.1882 6.8083 90.00 90.00 120.00
Space group P6_3mc (No. 186)
Unique sites:
Li: 0.3333 0.6667 0.0000
Br: 0.3333 0.6667 0.6240

Main lines, low angle first (10 to 80 degrees two-theta):
- 24.5 deg, I = 29
- 26.2 deg, I = 29
- 27.9 deg, I = 100
- 36.2 deg, I = 18
- 43.2 deg, I = 24
- 47.2 deg, I = 27
- 51.2 deg, I = 26
- 52.2 deg, I = 17
- 65.9 deg, I = 10
- 70.0 deg, I = 14

(9)
This entry pairs a crystal structure of Y4In20Ni11 with its theoretical powder diffractogram. Radiation: a wavelength of 1.5418 Å. Structure: a cell relaxed with GGA-PBE.
Peak positions follow from Bragg's law for the DFT cell and can differ from measured ones.

Lattice parameters (Å, degrees): 22.6056 4.3429 16.6678 90.00 123.76 90.00
Space group C2/m (No. 12)
Unique sites:
Y: 0.1176 0.0000 0.3317
Y: 0.2284 0.0000 0.8264
In: 0.0118 0.0000 0.0959
In: 0.0415 0.5000 0.3771
In: 0.0645 0.0000 0.7899
In: 0.1001 0.5000 0.9908
In: 0.1134 0.0000 0.5509
In: 0.1126 0.5000 0.6908
In: 0.1280 0.5000 0.1973
In: 0.2022 0.5000 0.5020
In: 0.2035 0.0000 0.0032
In: 0.2452 0.0000 0.2898
Ni: 0.0000 0.5000 0.5000
Ni: 0.0076 0.5000 0.1944
Ni: 0.0215 0.0000 0.6006
Ni: 0.1377 0.0000 0.1041
Ni: 0.1542 0.5000 0.8789
Ni: 0.2484 0.5000 0.3832

Main lines, low angle first (10 to 80 degrees two-theta):
- 31.3 deg, I = 30
- 34.1 deg, I = 27
- 34.4 deg, I = 36
- 34.8 deg, I = 70
- 35.1 deg, I = 57
- 35.4 deg, I = 100
- 41.6 deg, I = 97
- 42.2 deg, I = 57
- 43.4 deg, I = 28
- 44.3 deg, I = 29

(10)
This entry pairs a crystal structure of Sr2GdNbO6 with its theoretical powder diffractogram. Radiation: a wavelength of 1.5418 Å. Structure: a cell relaxed with GGA-PBE.
Peak positions follow from Bragg's law for the DFT cell and can differ from measured ones.

Lattice parameters (Å, degrees): 8.4266 8.4266 8.4266 90.00 90.00 90.00
Space group Pn-3 (No. 201, origin choice 2)
Unique sites:
Sr: 0.2500 0.2500 0.2500
Sr: 0.2500 0.2500 0.7500
Gd: 0.0000 0.0000 0.0000
Nb: 0.0000 0.0000 0.5000
O: 0.0336 0.5412 0.7656

Main lines, low angle first (10 to 80 degrees two-theta):
- 18.2 deg, I = 3
- 21.1 deg, I = 8
- 30.0 deg, I = 100
- 35.3 deg, I = 3
- 42.9 deg, I = 29
- 48.3 deg, I = 3
- 53.3 deg, I = 44
- 62.3 deg, I = 17
- 70.7 deg, I = 18
- 78.7 deg, I = 5